K2ZnSbH: theoretical powder X-ray diffraction pattern (copper Kα), based on a cell relaxed with GGA-PBE.
No peak broadening, texture or thermal motion is included.

Cell lengths 7.0959, 4.4881, 9.9294 Å; angles 90.00, 109.47, 90.00 degrees
Space group P2_1/m (No. 11)
Asymmetric unit:
K: 0.1992 0.2500 0.4067 (multiplicity 2)
K: 0.2201 0.2500 0.9564 (multiplicity 2)
Zn: 0.4439 0.7500 0.2344 (multiplicity 2)
Sb: 0.3494 0.7500 0.7125 (multiplicity 2)
H: 0.1918 0.7500 0.1618 (multiplicity 2)

Largest 10 diffraction maxima, in order of falling intensity, 2θ from 10° to 80°:
2θ/deg  I (rel.)  h k l
33.40  100  2 1 0
13.23  81  1 0 0
19.18  46  1 0 -2
18.96  43  0 0 2
33.79  43  2 1 -2
27.69  39  1 1 -2
27.53  37  0 1 2
36.19  36  1 0 -4
26.64  30  1 0 2
27.12  30  2 0 -2



TlBiRu: theoretical powder X-ray diffraction pattern (copper Kα), based on a cell relaxed with GGA-PBE.
No peak broadening, texture or thermal motion is included.

Cell lengths 3.6347, 4.1164, 5.4319 Å; angles 89.79, 84.41, 89.97 degrees
Space group P-1 (No. 2)
Asymmetric unit:
Tl: 0.0000 0.0000 0.0000 (multiplicity 1)
Bi: 0.5000 0.5000 0.5000 (multiplicity 1)
Ru: 0.0000 0.0000 0.5000 (multiplicity 1)

Largest 10 diffraction maxima, in order of falling intensity, 2θ from 10° to 80°:
2θ/deg  I (rel.)  h k l
32.96  100  1 1 0
27.23  57  0 1 1
33.14  49  0 0 2
28.32  26  1 0 1
43.99  23  0 2 0
45.51  21  1 1 2
45.64  21  1 -1 2
31.06  20  1 0 -1
49.20  17  -1 1 2
49.31  16  1 1 -2



Y6Cu11O24: theoretical powder X-ray diffraction pattern (copper Kα), based on a cell relaxed with GGA-PBE.
No peak broadening, texture or thermal motion is included.

Cell lengths 6.3209, 8.1599, 10.0685 Å; angles 66.17, 81.52, 89.03 degrees
Space group P-1 (No. 2)
Asymmetric unit:
Y: 0.0736 0.4658 0.3235 (multiplicity 2)
Y: 0.2463 0.8711 0.0002 (multiplicity 2)
Y: 0.4244 0.7900 0.6724 (multiplicity 2)
Cu: 0.0000 0.0000 0.5000 (multiplicity 1)
Cu: 0.1572 0.1800 0.1587 (multiplicity 2)
Cu: 0.1631 0.1680 0.6626 (multiplicity 2)
Cu: 0.3304 0.3280 0.8329 (multiplicity 2)
Cu: 0.3350 0.8308 0.3352 (multiplicity 2)
Cu: 0.5000 0.5000 0.0000 (multiplicity 1)
Cu: 0.5000 0.5000 0.5000 (multiplicity 1)
O: 0.0081 0.9857 0.1579 (multiplicity 2)
O: 0.0352 0.8119 0.6813 (multiplicity 2)
O: 0.0388 0.3289 0.8790 (multiplicity 2)
O: 0.0661 0.6982 0.4180 (multiplicity 2)
O: 0.2959 0.9733 0.4447 (multiplicity 2)
O: 0.3009 0.6583 0.9127 (multiplicity 2)
O: 0.3060 0.5209 0.6561 (multiplicity 2)
O: 0.3128 0.3639 0.1744 (multiplicity 2)
O: 0.3343 0.3183 0.4837 (multiplicity 2)
O: 0.3603 0.1460 0.0133 (multiplicity 2)
O: 0.3728 0.6910 0.2226 (multiplicity 2)
O: 0.3950 0.0392 0.7436 (multiplicity 2)

Largest 10 diffraction maxima, in order of falling intensity, 2θ from 10° to 80°:
2θ/deg  I (rel.)  h k l
37.03  100  1 -1 3
36.26  72  0 3 3
36.71  71  2 -1 2
35.84  61  1 3 2
36.11  46  2 2 2
32.12  45  1 1 -2
31.56  42  2 1 0
28.77  33  2 0 1
28.90  32  -1 2 2
59.88  30  -2 4 4



Na6B7C5: theoretical powder X-ray diffraction pattern (copper Kα), based on a cell relaxed with GGA-PBE.
No peak broadening, texture or thermal motion is included.

Cell lengths 4.9403, 4.9403, 25.4279 Å; angles 90.00, 90.00, 120.00 degrees
Space group R32 (No. 155, hexagonal axes)
Asymmetric unit:
Na: 0.0001 0.6659 0.0834 (multiplicity 18)
B: 0.0000 0.0000 0.0000 (multiplicity 3)
B: 0.0000 0.0000 0.1667 (multiplicity 6)
B: 0.0000 0.0000 0.5000 (multiplicity 3)
B: 0.0000 0.3471 0.0000 (multiplicity 9)
C: 0.0000 0.0000 0.3333 (multiplicity 6)
C: 0.0000 0.3333 0.1667 (multiplicity 9)

Largest 9 diffraction maxima, in order of falling intensity, 2θ from 10° to 80°:
2θ/deg  I (rel.)  h k l
42.35  100  1 1 6
42.67  26  0 0 12
36.37  18  1 1 0
65.44  17  3 0 0
77.90  12  1 1 18
57.28  10  1 1 12
77.25  2  2 2 0
69.55  1  3 0 6
20.98  1  0 0 6